Diffraction record for Li4V2Cr3Sn3O16. The X-ray powder pattern is calculated, not measured: it uses a structure optimized by DFT (PBE+U) and Cu Kα (λ = 1.5418 Å).
Lines closer than 0.1° are merged.

Crystal structure
```
data_Li4V2Cr3Sn3O16
_chemical_formula_sum 'Li4 V2 Cr3 Sn3 O16'
_cell_length_a 6.100
_cell_length_b 6.100
_cell_length_c 9.662
_cell_angle_alpha 90.31
_cell_angle_beta 90.31
_cell_angle_gamma 60.36
_symmetry_space_group_name_H-M 'P 1'
_symmetry_Int_Tables_number 1
loop_
_symmetry_equiv_pos_as_xyz
'x,y,z'
loop_
_atom_site_label
_atom_site_type_symbol
_atom_site_fract_x
_atom_site_fract_y
_atom_site_fract_z
_atom_site_occupancy
Li1 Li 0.000 0.000 0.000 1
Li2 Li 0.010 0.010 0.489 1
Li3 Li 0.352 0.352 0.589 1
Li4 Li 0.688 0.688 0.101 1
V1 V 0.355 0.355 0.005 1
V2 V 0.693 0.693 0.493 1
Cr1 Cr 0.195 0.673 0.275 1
Cr2 Cr 0.673 0.195 0.275 1
Cr3 Cr 0.847 0.847 0.773 1
Sn1 Sn 0.188 0.188 0.277 1
Sn2 Sn 0.354 0.847 0.776 1
Sn3 Sn 0.847 0.354 0.776 1
O1 O 0.012 0.012 0.185 1
O2 O 0.012 0.012 0.673 1
O3 O 0.058 0.505 0.149 1
O4 O 0.177 0.688 0.889 1
O5 O 0.179 0.179 0.895 1
O6 O 0.350 0.846 0.397 1
O7 O 0.356 0.356 0.386 1
O8 O 0.498 0.498 0.154 1
O9 O 0.505 0.058 0.149 1
O10 O 0.538 0.538 0.640 1
O11 O 0.543 0.974 0.644 1
O12 O 0.688 0.177 0.889 1
O13 O 0.688 0.688 0.890 1
O14 O 0.840 0.840 0.395 1
O15 O 0.846 0.350 0.397 1
O16 O 0.974 0.543 0.644 1
```

Peak list (10 most intense, 5° ≤ 2θ ≤ 70°, in order of rising 2θ)
2θ 18.4, rel. 100; 2θ 19.1, rel. 75; 2θ 19.2, rel. 30; 2θ 24.9, rel. 34; 2θ 32.5, rel. 31; 2θ 34.7, rel. 31; 2θ 35.1, rel. 62; 2θ 44.2, rel. 39; 2θ 44.3, rel. 27; 2θ 60.7, rel. 29